Record 1
Computed powder XRD pattern
Compound: YHo12Sc2
Radiation: Cu Kα
Structure: a structure optimized by DFT (GGA-PBE)
Intensities are scaled so that the largest is 100.

Cell lengths 3.539, 4.796, 27.469 Å; angles 90.00, 93.69, 90.00 degrees
Space group P2/m (No. 10)
Symmetry-distinct sites (fractional):
Y 0.000 0.000 0.000 [1 per cell]
Ho 0.065 0.000 0.131 [2 per cell]
Ho 0.190 0.000 0.382 [2 per cell]
Ho 0.277 0.500 0.553 [2 per cell]
Ho 0.342 0.500 0.679 [2 per cell]
Ho 0.403 0.500 0.804 [2 per cell]
Ho 0.467 0.500 0.934 [2 per cell]
Sc 0.127 0.000 0.258 [2 per cell]

Principal peaks in the range 10° ≤ 2θ ≤ 90°, most intense first:
2θ/deg	I (rel.)	h k l
31.46	100	1 1 0
32.10	98	0 1 8
35.30	64	1 0 -8
52.45	42	1 2 -8
37.51	37	0 2 0
61.74	32	1 1 -16
62.12	30	2 1 7
12.92	17	0 0 4

Record 2
Computed powder XRD pattern
Compound: AuIBr4
Radiation: Cu Kα
Structure: a structure optimized by DFT (GGA-PBE)
Intensities are scaled so that the largest is 100.

Cell lengths 7.802, 17.112, 7.734 Å; angles 90.00, 90.00, 90.00 degrees
Space group C222_1 (No. 20)
Symmetry-distinct sites (fractional):
Au 0.000 0.204 0.250 [4 per cell]
I 0.209 0.000 0.000 [4 per cell]
Br 0.220 0.305 0.263 [8 per cell]
Br 0.232 0.101 0.272 [8 per cell]

Principal peaks in the range 10° ≤ 2θ ≤ 90°, most intense first:
2θ/deg	I (rel.)	h k l
16.95	100	1 1 1
33.17	56	2 4 1
25.27	42	0 2 2
40.90	32	2 6 1
23.00	30	0 0 2
15.44	25	0 2 1
22.47	24	1 3 1
47.30	19	2 4 3

Record 3
Computed powder XRD pattern
Compound: RbSCl4
Radiation: Cu Kα
Structure: a structure optimized by DFT (GGA-PBE)
Intensities are scaled so that the largest is 100.

Cell lengths 7.688, 7.868, 8.096 Å; angles 90.00, 90.00, 90.00 degrees
Space group Imm2 (No. 44)
Symmetry-distinct sites (fractional):
Rb 0.000 0.000 0.000 [2 per cell]
S 0.000 0.500 0.214 [2 per cell]
Cl 0.208 0.297 0.245 [8 per cell]

Principal peaks in the range 10° ≤ 2θ ≤ 90°, most intense first:
2θ/deg	I (rel.)	h k l
15.90	100	1 0 1
15.71	85	0 1 1
27.36	61	1 1 2
32.57	57	2 2 0
32.11	39	2 0 2
31.72	38	0 2 2
27.76	30	1 2 1
35.18	23	0 1 3